The following is a computed powder XRD pattern of K4MgMn4O8. It was derived from a DFT-relaxed cell (PBE+U, Alexandria), using λ = 1.5418 Å (Cu Kα).
Kinematic intensities with the Lorentz-polarization factor, no thermal factor.

Top 12 peaks for 2θ from 15° to 90°, sorted by position:
Position (°2θ), I_rel, index
15.3, 40, 1 0 1
25.8, 46, 1 0 3
28.1, 71, 0 0 4
28.6, 75, 2 0 -2
32.2, 92, 0 1 2
36.5, 37, 1 0 -5
37.7, 27, 1 1 -3
39.4, 100, 2 1 0
40.5, 47, 2 1 1
47.5, 35, 2 1 -4
55.3, 26, 1 1 6
59.9, 28, 0 2 0

a b c (Å): 6.8384 3.0867 12.7795
angles (deg): 90.00 95.38 90.00
Atoms (fractional coordinates):
K  0.0000  0.0000  0.0000
K  0.1485  0.0000  0.5746
K  0.3879  0.5000  0.8327
K  0.8238  0.5000  0.2967
Mg  0.3893  0.0000  0.3811
Mn  0.2764  0.5000  0.2113
Mn  0.5380  0.0000  0.0771
Mn  0.6530  0.0000  0.5660
Mn  0.8605  0.5000  0.7482
O  0.0456  0.0000  0.7855
O  0.1355  0.0000  0.2876
O  0.3367  0.5000  0.0518
O  0.4456  0.5000  0.4790
O  0.5104  0.0000  0.2432
O  0.6621  0.0000  0.7407
O  0.7146  0.5000  0.0581
O  0.8544  0.5000  0.5800